For Rb3Na2VF8, a crystal structure in Alexandria, relaxed with PBE+U gives the simulated powder diffraction line list in this record (Cu Kα (weighted mean of Kα1 and Kα2)).
Intensities are scaled so that the largest is 100.

Principal peaks in the range 10° ≤ 2θ ≤ 80°, sorted by position:
- 10.75 deg, I 27.9, hkl 0 0 1
- 20.10 deg, I 22.3, hkl 1 0 1
- 27.57 deg, I 68.4, hkl 0 1 2
- 29.54 deg, I 100.0, hkl 1 1 0
- 35.99 deg, I 32.7, hkl 0 2 1
- 40.84 deg, I 54.9, hkl 2 0 2
- 51.20 deg, I 23.5, hkl 1 2 2
- 52.40 deg, I 18.4, hkl 3 0 0
- 56.92 deg, I 19.1, hkl 0 2 4
- 61.30 deg, I 20.7, hkl 2 2 0

Structural model:
Cell lengths 6.0487, 6.0487, 8.2279 Å; angles 90.00, 90.00, 120.00 degrees
Space group P-3m1 (No. 164)
Unique sites:
Rb1 0.0000 0.0000 0.0000 (multiplicity 1)
Rb2 0.3333 0.6667 0.6408 (multiplicity 2)
Na1 0.3333 0.6667 0.2073 (multiplicity 2)
V1 0.0000 0.0000 0.5000 (multiplicity 1)
F1 0.1529 0.3057 0.3573 (multiplicity 6)
F2 0.3333 0.6667 0.9522 (multiplicity 2)